Entry 1:
Calculated powder XRD pattern
Compound: Ga3Bi5Cl12
Radiation: Cu Ka
Structure: a cell relaxed with PBE
Lines closer than 0.1° are merged.

Largest 10 diffraction maxima, sorted by position, 5 to 70 degrees two-theta:
2θ = 10.19°, I = 100; 2θ = 14.74°, I = 21; 2θ = 17.95°, I = 34; 2θ = 22.78°, I = 17; 2θ = 26.71°, I = 16; 2θ = 30.17°, I = 21; 2θ = 30.91°, I = 44; 2θ = 34.15°, I = 16; 2θ = 34.39°, I = 17; 2θ = 43.86°, I = 17

Cell and atoms:
Cell: 12.0176 12.0176 31.5138 Å, 90.00 90.00 120.00°
Space group R-3c (No. 167, hexagonal axes)
One atom of each set of equivalent atoms:
Ga  0.0000  0.4633  0.2500
Bi  0.0000  0.0000  0.1753
Bi  0.0000  0.1617  0.7500
Cl  0.0086  0.4365  0.6930
Cl  0.0646  0.2286  0.9074


Entry 2:
Calculated powder XRD pattern
Compound: Ga2Bi4Cl3
Radiation: Cu Ka
Structure: a cell relaxed with PBE
Lines closer than 0.1° are merged.

Largest 10 diffraction maxima, sorted by position, 5 to 70 degrees two-theta:
2θ = 9.60°, I = 23; 2θ = 12.86°, I = 41; 2θ = 15.14°, I = 24; 2θ = 20.64°, I = 24; 2θ = 21.55°, I = 26; 2θ = 25.40°, I = 100; 2θ = 27.19°, I = 30; 2θ = 27.40°, I = 25; 2θ = 38.72°, I = 27; 2θ = 41.42°, I = 28

Cell and atoms:
Cell: 14.259 12.399 6.802 Å, 90.00 105.07 90.00°
Space group C2/c (No. 15)
One atom of each set of equivalent atoms:
Ga  0.202  0.120  0.153
Bi  0.117  0.270  0.853
Bi  0.182  0.103  0.554
Cl  0.000  0.064  0.250
Cl  0.129  0.390  0.253


Entry 3:
Calculated powder XRD pattern
Compound: Ge3BiCl9
Radiation: Cu Ka
Structure: a cell relaxed with PBE
Lines closer than 0.1° are merged.

Largest 10 diffraction maxima, sorted by position, 5 to 70 degrees two-theta:
2θ = 11.01°, I = 23; 2θ = 14.06°, I = 21; 2θ = 15.30°, I = 100; 2θ = 19.46°, I = 34; 2θ = 19.70°, I = 23; 2θ = 21.12°, I = 37; 2θ = 21.71°, I = 18; 2θ = 23.03°, I = 33; 2θ = 28.92°, I = 23; 2θ = 30.07°, I = 19

Cell and atoms:
Cell: 16.376 9.821 13.308 Å, 90.00 121.45 90.00°
Space group Cc (No. 9)
One atom of each set of equivalent atoms:
Ge  0.000  0.006  0.000
Ge  0.046  0.316  0.836
Ge  0.366  0.148  0.482
Bi  0.228  0.361  0.680
Cl  0.046  0.464  0.974
Cl  0.111  0.110  0.673
Cl  0.124  0.125  0.987
Cl  0.192  0.404  0.867
Cl  0.232  0.253  0.493
Cl  0.321  0.418  0.222
Cl  0.372  0.231  0.826
Cl  0.404  0.015  0.119
Cl  0.483  0.315  0.620


Entry 4:
Calculated powder XRD pattern
Compound: GeBi2PCl
Radiation: Cu Ka
Structure: a cell relaxed with PBE
Lines closer than 0.1° are merged.

Largest 10 diffraction maxima, sorted by position, 5 to 70 degrees two-theta:
2θ = 18.96°, I = 76; 2θ = 22.45°, I = 41; 2θ = 29.55°, I = 100; 2θ = 31.96°, I = 77; 2θ = 37.42°, I = 59; 2θ = 45.83°, I = 28; 2θ = 50.01°, I = 27; 2θ = 50.84°, I = 42; 2θ = 55.47°, I = 35; 2θ = 61.32°, I = 24

Cell and atoms:
Cell: 5.601 5.601 4.681 Å, 90.00 90.00 90.00°
Space group P4/mmm (No. 123)
One atom of each set of equivalent atoms:
Ge  0.000  0.000  0.000
Bi  0.000  0.500  0.000
P  0.000  0.000  0.500
Cl  0.500  0.500  0.500


Entry 5:
Calculated powder XRD pattern
Compound: Bi2H2Cl5
Radiation: Cu Ka
Structure: a cell relaxed with PBE
Lines closer than 0.1° are merged.

Largest 10 diffraction maxima, sorted by position, 5 to 70 degrees two-theta:
2θ = 11.64°, I = 100; 2θ = 14.59°, I = 76; 2θ = 18.70°, I = 42; 2θ = 25.12°, I = 34; 2θ = 29.17°, I = 28; 2θ = 29.42°, I = 16; 2θ = 32.46°, I = 31; 2θ = 35.75°, I = 34; 2θ = 39.06°, I = 16; 2θ = 44.37°, I = 22

Cell and atoms:
Cell: 8.017 12.144 15.207 Å, 90.00 90.00 90.00°
Space group Fmmm (No. 69)
One atom of each set of equivalent atoms:
Bi  0.000  0.227  0.000
H  0.000  0.000  0.475
Cl  0.000  0.000  0.000
Cl  0.250  0.250  0.123


Entry 6:
Calculated powder XRD pattern
Compound: HgBiCl4
Radiation: Cu Ka
Structure: a cell relaxed with PBE
Lines closer than 0.1° are merged.

Largest 10 diffraction maxima, sorted by position, 5 to 70 degrees two-theta:
2θ = 17.49°, I = 58; 2θ = 20.31°, I = 28; 2θ = 21.49°, I = 49; 2θ = 22.14°, I = 100; 2θ = 27.84°, I = 39; 2θ = 28.53°, I = 18; 2θ = 33.51°, I = 32; 2θ = 38.07°, I = 32; 2θ = 42.29°, I = 31; 2θ = 46.02°, I = 15

Cell and atoms:
Cell: 8.269 10.141 5.152 Å, 90.00 90.00 90.00°
Space group Pmn2_1 (No. 31)
One atom of each set of equivalent atoms:
Hg  0.000  0.055  0.000
Bi  0.000  0.497  0.355
Cl  0.000  0.060  0.500
Cl  0.000  0.696  0.082
Cl  0.208  0.374  0.051